Ba4PtN4: simulated powder diffraction line list (Cu Kα, 1.54184 Å), based on a cell relaxed with PBE.
Lines closer than 0.1° are merged.

Structural model:
a b c (Å): 6.5197 6.6416 9.8078
angles (deg): 91.10 108.30 104.04
Fractional positions:
Ba 0.9999 0.2461 0.1111
Ba 0.0001 0.7539 0.8889
Ba 0.1750 0.2972 0.4888
Ba 0.2684 0.7916 0.3495
Ba 0.3919 0.2394 0.8755
Ba 0.6081 0.7606 0.1245
Ba 0.7316 0.2084 0.6505
Ba 0.8250 0.7028 0.5112
Pt 0.4241 0.7413 0.7406
Pt 0.5759 0.2587 0.2594
N 0.1274 0.5035 0.7097
N 0.2487 0.9554 0.6518
N 0.2981 0.0257 0.1375
N 0.4046 0.4817 0.2644
N 0.5954 0.5183 0.7356
N 0.7019 0.9743 0.8625
N 0.7513 0.0446 0.3482
N 0.8726 0.4965 0.2903

Most intense lines, 10° ≤ 2θ ≤ 80°, sorted by position:
2θ/deg  I_rel
27.84  91.2
27.99  45.4
28.25  100.0
28.52  47.3
30.77  83.9
31.62  82.6
33.95  32.9
34.53  33.9
34.70  33.4
35.28  35.9

---

Dy11Tl9Ru4: simulated powder diffraction line list (Cu Kα, 1.54184 Å), based on a cell relaxed with PBE.
Lines closer than 0.1° are merged.

Structural model:
a b c (Å): 13.1144 13.1144 3.7528
angles (deg): 90.00 90.00 112.54
Fractional positions:
Dy 0.0000 0.0000 0.0000
Dy 0.0873 0.4179 0.0000
Dy 0.1633 0.8367 0.0000
Dy 0.3110 0.3110 0.0000
Dy 0.3725 0.6275 0.0000
Dy 0.4179 0.0873 0.0000
Dy 0.5821 0.9127 0.0000
Dy 0.6275 0.3725 0.0000
Dy 0.6890 0.6890 0.0000
Dy 0.8367 0.1633 0.0000
Dy 0.9127 0.5821 0.0000
Tl 0.0701 0.2170 0.5000
Tl 0.1498 0.6301 0.5000
Tl 0.2170 0.0701 0.5000
Tl 0.3699 0.8502 0.5000
Tl 0.5000 0.5000 0.5000
Tl 0.6301 0.1498 0.5000
Tl 0.7830 0.9299 0.5000
Tl 0.8502 0.3699 0.5000
Tl 0.9299 0.7830 0.5000
Ru 0.2541 0.4514 0.5000
Ru 0.4514 0.2541 0.5000
Ru 0.5486 0.7459 0.5000
Ru 0.7459 0.5486 0.5000

Most intense lines, 10° ≤ 2θ ≤ 80°, sorted by position:
2θ/deg  I_rel
30.38  12.2
34.33  100.0
34.87  45.7
36.59  9.7
37.98  10.6
48.51  18.4
50.15  12.4
61.13  18.3
62.18  12.3
72.35  11.6

---

ErMn4B4: simulated powder diffraction line list (Cu Kα, 1.54184 Å), based on a cell relaxed with PBE.
Lines closer than 0.1° are merged.

Structural model:
a b c (Å): 6.9960 6.9960 3.9267
angles (deg): 90.00 90.00 90.00
Fractional positions:
Er 0.2500 0.2500 0.2500
Er 0.7500 0.7500 0.7500
Mn 0.1208 0.6317 0.1309
Mn 0.1317 0.8792 0.6309
Mn 0.3683 0.6208 0.6309
Mn 0.3792 0.8683 0.1309
Mn 0.6208 0.1317 0.8691
Mn 0.6317 0.3792 0.3691
Mn 0.8683 0.1208 0.3691
Mn 0.8792 0.3683 0.8691
B 0.0582 0.9222 0.1355
B 0.0778 0.5582 0.6355
B 0.4222 0.9418 0.6355
B 0.4418 0.5778 0.1355
B 0.5582 0.4222 0.8645
B 0.5778 0.0582 0.3645
B 0.9222 0.4418 0.3645
B 0.9418 0.0778 0.8645

Most intense lines, 10° ≤ 2θ ≤ 80°, sorted by position:
2θ/deg  I_rel
25.46  33.5
26.02  77.4
36.32  20.1
36.73  100.0
40.79  75.8
45.22  16.5
48.14  15.8
52.61  33.7
59.33  17.7
71.59  17.7

---

Mg7Si4O16: simulated powder diffraction line list (Cu Kα, 1.54184 Å), based on a cell relaxed with PBE.
Lines closer than 0.1° are merged.

Structural model:
a b c (Å): 7.7067 7.7067 5.6798
angles (deg): 110.06 110.06 99.92
Fractional positions:
Mg 0.0000 0.0000 0.0000
Mg 0.1436 0.3940 0.0041
Mg 0.2485 0.7515 0.5000
Mg 0.4097 0.1470 0.0381
Mg 0.6060 0.8564 0.9959
Mg 0.8530 0.5903 0.9619
Mg 0.9872 0.0128 0.5000
Si 0.3659 0.3576 0.6041
Si 0.6241 0.1078 0.6191
Si 0.6424 0.6341 0.3959
Si 0.8922 0.3759 0.3809
O 0.0043 0.4932 0.2505
O 0.0854 0.8512 0.2329
O 0.1488 0.9146 0.7671
O 0.2561 0.2486 0.2615
O 0.2555 0.2537 0.7487
O 0.3869 0.5906 0.7182
O 0.4094 0.6131 0.2818
O 0.5068 0.9957 0.7495
O 0.5231 0.0127 0.2806
O 0.5927 0.3339 0.7157
O 0.6661 0.4073 0.2843
O 0.7463 0.7445 0.2513
O 0.7514 0.7439 0.7385
O 0.8589 0.1294 0.7500
O 0.8706 0.1411 0.2500
O 0.9873 0.4769 0.7194

Most intense lines, 10° ≤ 2θ ≤ 80°, sorted by position:
2θ/deg  I_rel
28.08  58.0
32.92  62.2
35.71  90.5
36.17  54.2
43.14  45.0
44.30  100.0
62.35  75.9
63.02  40.4
64.74  66.7
65.85  37.6

---

Ac5La4Sm2: simulated powder diffraction line list (Cu Kα, 1.54184 Å), based on a cell relaxed with PBE.
Lines closer than 0.1° are merged.

Structural model:
a b c (Å): 9.4852 3.7238 12.6959
angles (deg): 90.00 91.55 90.00
Fractional positions:
Ac 0.0000 0.0000 0.0000
Ac 0.1958 0.0000 0.5298
Ac 0.2861 0.0000 0.8193
Ac 0.7139 0.0000 0.1807
Ac 0.8042 0.0000 0.4702
La 0.0752 0.5000 0.2685
La 0.4634 0.5000 0.3552
La 0.5366 0.5000 0.6448
La 0.9248 0.5000 0.7315
Sm 0.3503 0.0000 0.1148
Sm 0.6497 0.0000 0.8852

Most intense lines, 10° ≤ 2θ ≤ 80°, sorted by position:
2θ/deg  I_rel
23.90  30.6
26.59  33.5
27.78  30.5
28.66  100.0
28.93  92.8
29.45  93.1
30.53  47.8
32.02  50.5
57.67  32.7
58.13  29.0

---

Sr2TePd2: simulated powder diffraction line list (Cu Kα, 1.54184 Å), based on a cell relaxed with PBE.
Lines closer than 0.1° are merged.

Structural model:
a b c (Å): 9.0764 9.0764 9.0764
angles (deg): 154.45 154.45 36.45
Fractional positions:
Sr 0.1126 0.1126 0.0000
Sr 0.8874 0.8874 0.0000
Te 0.5000 0.5000 0.0000
Pd 0.2500 0.7500 0.5000
Pd 0.7500 0.2500 0.5000

Most intense lines, 10° ≤ 2θ ≤ 80°, sorted by position:
2θ/deg  I_rel
27.10  59.1
33.23  100.0
34.28  55.8
37.96  34.9
41.92  22.6
44.89  21.6
45.18  41.5
57.92  24.2
63.09  24.4
63.32  26.2

---

TmTlVCl6: simulated powder diffraction line list (Cu Kα, 1.54184 Å), based on a cell relaxed with PBE.
Lines closer than 0.1° are merged.

Structural model:
a b c (Å): 6.6031 6.6031 14.5109
angles (deg): 90.00 90.00 120.00
Fractional positions:
Tm 0.3333 0.6667 0.2500
Tm 0.6667 0.3333 0.7500
Tl 0.0000 0.0000 0.0000
Tl 0.0000 0.0000 0.5000
V 0.3333 0.6667 0.7500
V 0.6667 0.3333 0.2500
Cl 0.0140 0.3742 0.6494
Cl 0.0140 0.6398 0.8506
Cl 0.3602 0.3742 0.8506
Cl 0.3602 0.9860 0.6494
Cl 0.3742 0.0140 0.1494
Cl 0.3742 0.3602 0.3506
Cl 0.6258 0.6398 0.6494
Cl 0.6258 0.9860 0.8506
Cl 0.6398 0.0140 0.3506
Cl 0.6398 0.6258 0.1494
Cl 0.9860 0.3602 0.1494
Cl 0.9860 0.6258 0.3506

Most intense lines, 10° ≤ 2θ ≤ 80°, sorted by position:
2θ/deg  I_rel
16.66  11.9
19.77  100.0
27.01  22.7
33.69  22.5
36.81  54.3
40.50  13.5
43.70  25.3
47.71  17.3
49.36  11.6
57.16  12.5

---

AcPbAuO5: simulated powder diffraction line list (Cu Kα, 1.54184 Å), based on a cell relaxed with PBE.
Lines closer than 0.1° are merged.

Structural model:
a b c (Å): 6.7281 6.7281 6.5764
angles (deg): 110.04 110.04 102.31
Fractional positions:
Ac 0.1059 0.8941 0.7500
Ac 0.8941 0.1059 0.2500
Pb 0.0000 0.5000 0.0000
Pb 0.5000 0.0000 0.5000
Au 0.4430 0.5570 0.7500
Au 0.5570 0.4430 0.2500
O 0.1271 0.5193 0.7244
O 0.1438 0.8562 0.2500
O 0.2225 0.3535 0.1868
O 0.3535 0.2225 0.6868
O 0.4807 0.8729 0.7756
O 0.5193 0.1271 0.2244
O 0.6465 0.7775 0.3132
O 0.7775 0.6465 0.8132
O 0.8562 0.1438 0.7500
O 0.8729 0.4807 0.2756

Most intense lines, 10° ≤ 2θ ≤ 80°, sorted by position:
2θ/deg  I_rel
26.77  70.4
28.17  71.4
29.19  100.0
30.51  48.3
33.28  34.6
36.87  28.9
42.97  24.1
44.53  18.6
50.50  29.2
56.68  19.5